For YPaTeO6, a structure optimized by DFT (GGA-PBE) gives the calculated X-ray powder pattern in this record (Cu Kα, 1.54184 Å).

Lattice parameters (Å, degrees): 5.6793 5.6793 9.5923 90.00 90.00 120.00
Space group P-31c (No. 163)
Unique sites:
Y 0.3333 0.6667 0.2500 [2 per cell]
Pa 0.0000 0.0000 0.0000 [2 per cell]
Te 0.3333 0.6667 0.7500 [2 per cell]
O 0.0122 0.3301 0.6285 [12 per cell]

Top 8 peaks for 10° ≤ 2θ ≤ 90°, low angle first:
4.918 Å, I = 15, hkl 1 0 0; 3.434 Å, I = 100, hkl 1 0 2; 2.840 Å, I = 42, hkl 1 1 0; 2.188 Å, I = 30, hkl 2 0 2; 1.832 Å, I = 36, hkl 1 1 4; 1.733 Å, I = 29, hkl 3 -1 2; 1.639 Å, I = 15, hkl 3 0 0; 1.312 Å, I = 12, hkl 3 1 2

For RbGaO2, a structure optimized by DFT (GGA-PBE) gives the calculated X-ray powder pattern in this record (Cu Kα, 1.54184 Å).

Lattice parameters (Å, degrees): 10.4360 8.1524 5.2409 90.00 101.32 90.00
Space group C2/c (No. 15)
Unique sites:
Rb 0.2500 0.2500 0.0000 [4 per cell]
Ga 0.0000 0.0101 0.2500 [4 per cell]
O 0.0988 0.1113 0.5455 [8 per cell]

Top 8 peaks for 10° ≤ 2θ ≤ 90°, low angle first:
6.376 Å, I = 100, hkl 1 1 0; 4.264 Å, I = 23, hkl 1 1 -1; 3.782 Å, I = 17, hkl 1 1 1; 3.188 Å, I = 53, hkl 2 2 0; 2.930 Å, I = 21, hkl 3 1 -1; 2.490 Å, I = 13, hkl 3 1 1; 2.388 Å, I = 11, hkl 1 3 -1; 2.174 Å, I = 17, hkl 0 2 2

For Th2Ga2Sn, a structure optimized by DFT (GGA-PBE) gives the calculated X-ray powder pattern in this record (Cu Kα, 1.54184 Å).

Lattice parameters (Å, degrees): 7.4607 7.4607 4.5152 90.00 90.00 90.00
Space group P4/mbm (No. 127)
Unique sites:
Th 0.1762 0.3238 0.0000 [4 per cell]
Ga 0.1226 0.6226 0.5000 [4 per cell]
Sn 0.0000 0.0000 0.5000 [2 per cell]

Top 8 peaks for 10° ≤ 2θ ≤ 90°, low angle first:
3.337 Å, I = 23, hkl 2 1 0; 2.876 Å, I = 52, hkl 2 0 1; 2.683 Å, I = 100, hkl 2 1 1; 2.359 Å, I = 30, hkl 3 1 0; 2.258 Å, I = 22, hkl 0 0 2; 1.680 Å, I = 20, hkl 4 1 1; 1.639 Å, I = 16, hkl 3 3 1; 1.631 Å, I = 20, hkl 3 1 2

For CsNi, a structure optimized by DFT (GGA-PBE) gives the calculated X-ray powder pattern in this record (Cu Kα, 1.54184 Å).

Lattice parameters (Å, degrees): 12.8367 12.8367 4.2620 90.00 90.00 90.00
Space group I4/mmm (No. 139)
Unique sites:
Cs 0.0000 0.2503 0.0000 [8 per cell]
Ni 0.2309 0.2309 0.5000 [8 per cell]

Top 8 peaks for 10° ≤ 2θ ≤ 90°, low angle first:
6.418 Å, I = 61, hkl 2 0 0; 4.045 Å, I = 33, hkl 1 0 1; 3.422 Å, I = 44, hkl 2 1 1; 3.209 Å, I = 100, hkl 4 0 0; 3.020 Å, I = 38, hkl 3 0 1; 2.732 Å, I = 55, hkl 3 2 1; 2.269 Å, I = 35, hkl 4 4 0; 1.775 Å, I = 35, hkl 4 0 2

What is the formula in the second record? RbGaO2

Repeat the third record exactly.
For Th2Ga2Sn, a structure optimized by DFT (GGA-PBE) gives the calculated X-ray powder pattern in this record (Cu Kα, 1.54184 Å).

Lattice parameters (Å, degrees): 7.4607 7.4607 4.5152 90.00 90.00 90.00
Space group P4/mbm (No. 127)
Unique sites:
Th 0.1762 0.3238 0.0000 [4 per cell]
Ga 0.1226 0.6226 0.5000 [4 per cell]
Sn 0.0000 0.0000 0.5000 [2 per cell]

Top 8 peaks for 10° ≤ 2θ ≤ 90°, low angle first:
3.337 Å, I = 23, hkl 2 1 0; 2.876 Å, I = 52, hkl 2 0 1; 2.683 Å, I = 100, hkl 2 1 1; 2.359 Å, I = 30, hkl 3 1 0; 2.258 Å, I = 22, hkl 0 0 2; 1.680 Å, I = 20, hkl 4 1 1; 1.639 Å, I = 16, hkl 3 3 1; 1.631 Å, I = 20, hkl 3 1 2